Entry 1:
SmInAg: computed XRD peak list (λ = 1.5418 Å (Cu Kα)), based on DFT lattice parameters and positions (GGA-PBE).
Intensities are scaled so that the largest is 100.

Principal peaks in the range 15 to 90 degrees two-theta, low angle first:
- d = 2.943 Å, I 18.8
- d = 2.849 Å, I 24.7
- d = 2.812 Å, I 71.7
- d = 2.744 Å, I 55.8
- d = 2.715 Å, I 30.9
- d = 2.410 Å, I 100.0
- d = 2.405 Å, I 51.4
- d = 1.862 Å, I 16.3
- d = 1.800 Å, I 18.2
- d = 1.472 Å, I 17.1

Crystal structure
Cell lengths 10.9297, 4.8099, 7.4588 Å; angles 90.00, 130.18, 90.00 degrees
Space group C2/m (No. 12)
Unique sites:
Sm 0.0355 0.0000 0.2945 x4
In 0.1671 0.5000 0.1165 x4
Ag 0.1633 0.5000 0.7022 x4


Entry 2:
SmInAg3: computed XRD peak list (λ = 1.5418 Å (Cu Kα)), based on DFT lattice parameters and positions (GGA-PBE).
Intensities are scaled so that the largest is 100.

Principal peaks in the range 15 to 90 degrees two-theta, low angle first:
- d = 5.561 Å, I 50.2
- d = 5.024 Å, I 50.5
- d = 4.234 Å, I 46.8
- d = 2.600 Å, I 76.2
- d = 2.579 Å, I 39.8
- d = 2.512 Å, I 26.1
- d = 2.229 Å, I 47.2
- d = 2.202 Å, I 100.0
- d = 1.493 Å, I 26.6
- d = 1.404 Å, I 22.7

Crystal structure
Cell lengths 5.1571, 5.1571, 22.2451 Å; angles 90.00, 90.00, 90.00 degrees
Space group I-4m2 (No. 119)
Unique sites:
Sm 0.0000 0.0000 0.0000 x2
Sm 0.0000 0.5000 0.2500 x2
In 0.0000 0.0000 0.3443 x4
Ag 0.0000 0.2493 0.1238 x8
Ag 0.0000 0.5000 0.5889 x4


Entry 3:
Sm5In2Ag: computed XRD peak list (λ = 1.5418 Å (Cu Kα)), based on DFT lattice parameters and positions (GGA-PBE).
Intensities are scaled so that the largest is 100.

Principal peaks in the range 15 to 90 degrees two-theta, low angle first:
- d = 2.788 Å, I 100.0
- d = 2.500 Å, I 36.9
- d = 2.268 Å, I 13.9
- d = 1.768 Å, I 12.9
- d = 1.680 Å, I 21.8
- d = 1.493 Å, I 29.4
- d = 1.394 Å, I 11.6
- d = 1.390 Å, I 11.5
- d = 1.141 Å, I 6.2
- d = 1.093 Å, I 11.1

Crystal structure
Cell lengths 7.0702, 7.0702, 9.0716 Å; angles 90.00, 90.00, 90.00 degrees
Space group I4mm (No. 107)
Unique sites:
Sm 0.0000 0.0000 0.0000 x2
Sm 0.2501 0.2501 0.2499 x8
In 0.0000 0.5000 0.9999 x4
Ag 0.0000 0.0000 0.4994 x2


Entry 4:
Sm5In2Ag2: computed XRD peak list (λ = 1.5418 Å (Cu Kα)), based on DFT lattice parameters and positions (GGA-PBE).
Intensities are scaled so that the largest is 100.

Principal peaks in the range 15 to 90 degrees two-theta, low angle first:
- d = 3.276 Å, I 26.9
- d = 3.209 Å, I 24.1
- d = 2.776 Å, I 29.5
- d = 2.723 Å, I 33.2
- d = 2.690 Å, I 59.3
- d = 2.646 Å, I 30.8
- d = 2.635 Å, I 29.1
- d = 2.557 Å, I 100.0
- d = 1.956 Å, I 17.2
- d = 1.697 Å, I 21.9

Crystal structure
Cell lengths 11.2441, 17.5218, 6.4172 Å; angles 90.00, 124.77, 90.00 degrees
Space group Cm (No. 8)
Unique sites:
Sm 0.0000 0.0000 0.0000 x2
Sm 0.0131 0.5000 0.0134 x2
Sm 0.1361 0.0996 0.6313 x4
Sm 0.2254 0.3314 0.9378 x4
Sm 0.2880 0.3308 0.5000 x4
Sm 0.3771 0.0997 0.3719 x4
In 0.0787 0.1775 0.0714 x4
In 0.4344 0.1777 0.9274 x4
Ag 0.0067 0.2499 0.4017 x4
Ag 0.1622 0.5000 0.6379 x2
Ag 0.3510 0.5000 0.3274 x2


Entry 5:
Sm6In2Ag: computed XRD peak list (λ = 1.5418 Å (Cu Kα)), based on DFT lattice parameters and positions (GGA-PBE).
Intensities are scaled so that the largest is 100.

Principal peaks in the range 15 to 90 degrees two-theta, low angle first:
- d = 2.834 Å, I 100.0
- d = 2.824 Å, I 13.7
- d = 2.730 Å, I 21.8
- d = 2.575 Å, I 25.6
- d = 2.400 Å, I 24.4
- d = 1.903 Å, I 8.7
- d = 1.756 Å, I 18.7
- d = 1.537 Å, I 10.6
- d = 1.532 Å, I 15.4
- d = 1.456 Å, I 8.4

Crystal structure
Cell lengths 10.1826, 10.1826, 5.1492 Å; angles 90.00, 90.00, 90.00 degrees
Space group P4_2/mnm (No. 136)
Unique sites:
Sm 0.0205 0.3200 0.0000 x8
Sm 0.1243 0.8757 0.5000 x4
In 0.2000 0.2000 0.5000 x4
Ag 0.0000 0.0000 0.0000 x2


Entry 6:
Sm7InAg4: computed XRD peak list (λ = 1.5418 Å (Cu Kα)), based on DFT lattice parameters and positions (GGA-PBE).
Intensities are scaled so that the largest is 100.

Principal peaks in the range 15 to 90 degrees two-theta, low angle first:
- d = 2.900 Å, I 91.6
- d = 2.890 Å, I 100.0
- d = 2.785 Å, I 30.2
- d = 2.723 Å, I 35.2
- d = 2.671 Å, I 21.9
- d = 2.620 Å, I 24.8
- d = 2.555 Å, I 82.9
- d = 2.048 Å, I 36.7
- d = 2.005 Å, I 25.3
- d = 1.961 Å, I 21.1

Crystal structure
Cell lengths 14.6350, 5.7807, 9.3560 Å; angles 90.00, 121.09, 90.00 degrees
Space group C2/m (No. 12)
Unique sites:
Sm 0.0000 0.0000 0.0000 x2
Sm 0.0765 0.5000 0.4083 x4
Sm 0.1814 0.5000 0.8820 x4
Sm 0.2274 0.0000 0.6902 x4
In 0.0000 0.5000 0.0000 x2
Ag 0.0249 0.0000 0.6849 x4
Ag 0.1883 0.0000 0.3421 x4


Entry 7:
SmTmInAg: computed XRD peak list (λ = 1.5418 Å (Cu Kα)), based on DFT lattice parameters and positions (GGA-PBE).
Intensities are scaled so that the largest is 100.

Principal peaks in the range 15 to 90 degrees two-theta, low angle first:
- d = 2.653 Å, I 100.0
- d = 2.569 Å, I 47.5
- d = 1.941 Å, I 8.8
- d = 1.817 Å, I 16.8
- d = 1.549 Å, I 16.9
- d = 1.499 Å, I 34.0
- d = 1.326 Å, I 10.0
- d = 1.219 Å, I 6.5
- d = 1.156 Å, I 7.8
- d = 1.149 Å, I 7.5

Crystal structure
Cell lengths 3.6333, 3.6333, 7.7647 Å; angles 90.00, 90.00, 90.00 degrees
Space group P4mm (No. 99)
Unique sites:
Sm 0.0000 0.0000 0.0000 x1
Tm 0.0000 0.0000 0.5272 x1
In 0.5000 0.5000 0.2713 x1
Ag 0.5000 0.5000 0.7380 x1


Entry 8:
InAgSn2: computed XRD peak list (λ = 1.5418 Å (Cu Kα)), based on DFT lattice parameters and positions (GGA-PBE).
Intensities are scaled so that the largest is 100.

Principal peaks in the range 15 to 90 degrees two-theta, low angle first:
- d = 3.921 Å, I 16.8
- d = 3.650 Å, I 30.3
- d = 2.947 Å, I 18.9
- d = 2.624 Å, I 100.0
- d = 2.325 Å, I 81.5
- d = 2.106 Å, I 17.3
- d = 1.740 Å, I 29.2
- d = 1.589 Å, I 14.4
- d = 1.393 Å, I 28.0
- d = 1.342 Å, I 14.2

Crystal structure
Cell lengths 4.6491, 4.6491, 17.2972 Å; angles 90.00, 90.00, 120.00 degrees
Space group R3m (No. 160, hexagonal axes)
Unique sites:
In 0.0000 0.0000 0.0000 x3
Ag 0.0000 0.0000 0.1727 x3
Sn 0.0000 0.0000 0.5736 x3
Sn 0.0000 0.0000 0.7718 x3


Entry 9:
In3AgSn: computed XRD peak list (λ = 1.5418 Å (Cu Kα)), based on DFT lattice parameters and positions (GGA-PBE).
Intensities are scaled so that the largest is 100.

Principal peaks in the range 15 to 90 degrees two-theta, low angle first:
- d = 3.165 Å, I 33.0
- d = 2.979 Å, I 22.8
- d = 2.750 Å, I 23.1
- d = 2.593 Å, I 41.1
- d = 2.555 Å, I 100.0
- d = 2.477 Å, I 35.4
- d = 2.370 Å, I 43.6
- d = 2.235 Å, I 19.1
- d = 1.791 Å, I 18.2
- d = 1.678 Å, I 17.9

Crystal structure
Cell lengths 6.3118, 10.3721, 15.9880 Å; angles 90.00, 90.00, 90.00 degrees
Space group Fmmm (No. 69)
Unique sites:
In 0.0000 0.0000 0.2078 x8
In 0.0000 0.2166 0.4023 x16
Ag 0.2500 0.2500 0.2500 x8
Sn 0.2326 0.0000 0.0000 x8


Entry 10:
InAg14Sn: computed XRD peak list (λ = 1.5418 Å (Cu Kα)), based on DFT lattice parameters and positions (GGA-PBE).
Intensities are scaled so that the largest is 100.

Principal peaks in the range 15 to 90 degrees two-theta, low angle first:
- d = 2.426 Å, I 100.0
- d = 2.117 Å, I 33.2
- d = 2.071 Å, I 15.3
- d = 1.497 Å, I 10.4
- d = 1.480 Å, I 19.8
- d = 1.274 Å, I 24.0
- d = 1.254 Å, I 11.1
- d = 1.213 Å, I 10.2

Crystal structure
Cell lengths 5.9869, 5.9869, 8.2850 Å; angles 90.00, 90.00, 90.00 degrees
Space group P4/mmm (No. 123)
Unique sites:
In 0.0000 0.0000 0.0000 x1
Ag 0.0000 0.0000 0.5000 x1
Ag 0.0000 0.5000 0.0000 x2
Ag 0.0000 0.5000 0.5000 x2
Ag 0.2491 0.2491 0.2564 x8
Ag 0.5000 0.5000 0.5000 x1
Sn 0.5000 0.5000 0.0000 x1


Entry 11:
In2Ag5Sn: computed XRD peak list (λ = 1.5418 Å (Cu Kα)), based on DFT lattice parameters and positions (GGA-PBE).
Intensities are scaled so that the largest is 100.

Principal peaks in the range 15 to 90 degrees two-theta, low angle first:
- d = 2.571 Å, I 64.7
- d = 2.353 Å, I 100.0
- d = 1.818 Å, I 22.3
- d = 1.543 Å, I 6.4
- d = 1.439 Å, I 40.3
- d = 1.323 Å, I 15.1
- d = 1.286 Å, I 6.9
- d = 1.176 Å, I 10.5
- d = 1.150 Å, I 9.8
- d = 1.128 Å, I 9.4

Crystal structure
Cell lengths 7.2728, 7.2728, 6.1713 Å; angles 90.00, 90.00, 90.00 degrees
Space group I4mm (No. 107)
Unique sites:
In 0.0000 0.5000 0.0000 x4
Ag 0.0000 0.0000 0.9996 x2
Ag 0.2497 0.2497 0.2501 x8
Sn 0.0000 0.0000 0.5005 x2


Entry 12:
InAg3Sn: computed XRD peak list (λ = 1.5418 Å (Cu Kα)), based on DFT lattice parameters and positions (GGA-PBE).
Intensities are scaled so that the largest is 100.

Principal peaks in the range 15 to 90 degrees two-theta, low angle first:
- d = 2.730 Å, I 13.0
- d = 2.595 Å, I 11.3
- d = 2.571 Å, I 100.0
- d = 2.558 Å, I 79.5
- d = 2.313 Å, I 33.0
- d = 2.288 Å, I 32.3
- d = 2.083 Å, I 18.7
- d = 1.633 Å, I 15.3
- d = 1.324 Å, I 14.3
- d = 1.279 Å, I 19.0

Crystal structure
Cell lengths 7.2265, 7.3242, 8.3322 Å; angles 90.00, 90.00, 90.00 degrees
Space group Pnnm (No. 58)
Unique sites:
In 0.1822 0.1440 0.0000 x4
Ag 0.0000 0.5000 0.1807 x4
Ag 0.1363 0.8583 0.2556 x8
Sn 0.1649 0.1739 0.5000 x4


Entry 13:
Sr2In4Ag3Sn: computed XRD peak list (λ = 1.5418 Å (Cu Kα)), based on DFT lattice parameters and positions (GGA-PBE).
Intensities are scaled so that the largest is 100.

Principal peaks in the range 15 to 90 degrees two-theta, low angle first:
- d = 3.081 Å, I 37.7
- d = 2.907 Å, I 100.0
- d = 2.331 Å, I 61.9
- d = 2.250 Å, I 47.4
- d = 2.178 Å, I 33.6
- d = 1.859 Å, I 18.4
- d = 1.648 Å, I 21.0
- d = 1.592 Å, I 23.0
- d = 1.434 Å, I 22.5
- d = 1.285 Å, I 18.5

Crystal structure
Cell lengths 4.6627, 4.6627, 12.3175 Å; angles 90.00, 90.00, 90.00 degrees
Space group P-4m2 (No. 115)
Unique sites:
Sr 0.0000 0.5000 0.2429 x2
In 0.0000 0.0000 0.0000 x1
In 0.0000 0.5000 0.6442 x2
In 0.5000 0.5000 0.0000 x1
Ag 0.0000 0.5000 0.8652 x2
Ag 0.5000 0.5000 0.5000 x1
Sn 0.0000 0.0000 0.5000 x1